Computed X-ray powder pattern
Compound: NbP2CO
Radiation: Cu Kα (λ = 1.5418 Å)
Structure: DFT lattice parameters and positions (PBE)
No peak broadening, texture or thermal motion is included.

Most intense lines, 2θ = 10–90°, by angle:
Position (°2θ), intensity
23.0, 36.4
32.4, 55.6
32.7, 12.9
40.1, 100.0
46.0, 20.6
47.0, 38.5
58.2, 20.3
67.9, 23.8
82.6, 22.9
86.6, 12.4

Cell and atoms:
Lattice parameters (Å, degrees): 3.8672 3.8672 3.9459 90.00 90.00 90.00
Fractional positions:
Nb: 0.0000 0.0000 0.0000
P: 0.0000 0.5000 0.5000
P: 0.5000 0.0000 0.5000
C: 0.5000 0.5000 0.5000
O: 0.5000 0.5000 0.0000

=====

Computed X-ray powder pattern
Compound: Er2AlGa8
Radiation: Cu Kα (λ = 1.5418 Å)
Structure: DFT lattice parameters and positions (PBE)
No peak broadening, texture or thermal motion is included.

Most intense lines, 2θ = 10–90°, by angle:
Position (°2θ), intensity
20.2, 15.2
29.9, 11.9
33.0, 37.8
37.8, 100.0
40.6, 15.1
41.1, 49.3
59.2, 19.6
59.5, 16.2
72.7, 28.3
74.9, 14.1

Cell and atoms:
Lattice parameters (Å, degrees): 4.3917 4.3917 11.1077 90.00 90.00 90.00
Fractional positions:
Er: 0.0000 0.0000 0.1874
Er: 0.0000 0.0000 0.8126
Al: 0.0000 0.0000 0.5000
Ga: 0.0000 0.5000 0.0000
Ga: 0.0000 0.5000 0.3699
Ga: 0.0000 0.5000 0.6301
Ga: 0.5000 0.0000 0.0000
Ga: 0.5000 0.0000 0.3699
Ga: 0.5000 0.0000 0.6301
Ga: 0.5000 0.5000 0.1839
Ga: 0.5000 0.5000 0.8161

=====

Computed X-ray powder pattern
Compound: AcCd3Rh
Radiation: Cu Kα (λ = 1.5418 Å)
Structure: DFT lattice parameters and positions (PBE)
No peak broadening, texture or thermal motion is included.

Most intense lines, 2θ = 10–90°, by angle:
Position (°2θ), intensity
28.7, 42.2
29.2, 61.3
32.3, 38.8
34.1, 74.6
34.3, 100.0
35.3, 51.7
37.3, 81.4
38.5, 39.4
38.8, 43.4
39.2, 31.8

Cell and atoms:
Lattice parameters (Å, degrees): 5.6587 6.0270 7.6467 90.00 111.62 90.00
Fractional positions:
Ac: 0.2077 0.2500 0.1089
Ac: 0.7923 0.7500 0.8911
Cd: 0.2153 0.0062 0.6880
Cd: 0.2153 0.4938 0.6880
Cd: 0.3358 0.7500 0.3867
Cd: 0.6642 0.2500 0.6133
Cd: 0.7847 0.5062 0.3120
Cd: 0.7847 0.9938 0.3120
Rh: 0.3504 0.7500 0.0243
Rh: 0.6496 0.2500 0.9757

=====

Computed X-ray powder pattern
Compound: Y3PaRh3
Radiation: Cu Kα (λ = 1.5418 Å)
Structure: DFT lattice parameters and positions (PBE)
No peak broadening, texture or thermal motion is included.

Most intense lines, 2θ = 10–90°, by angle:
Position (°2θ), intensity
26.2, 52.0
29.5, 53.8
29.9, 51.5
30.5, 85.6
33.1, 80.8
35.4, 57.4
36.9, 100.0
37.7, 52.3
40.2, 52.3
44.1, 76.9

Cell and atoms:
Lattice parameters (Å, degrees): 12.1037 4.1067 13.3905 90.00 90.00 90.00
Fractional positions:
Y: 0.0523 0.2500 0.0974
Y: 0.1871 0.7500 0.5100
Y: 0.2491 0.2500 0.2986
Y: 0.2509 0.7500 0.7986
Y: 0.3129 0.2500 0.0100
Y: 0.4477 0.7500 0.5974
Y: 0.5523 0.2500 0.4026
Y: 0.6871 0.7500 0.9900
Y: 0.7491 0.2500 0.2014
Y: 0.7509 0.7500 0.7014
Y: 0.8129 0.2500 0.4900
Y: 0.9477 0.7500 0.9026
Pa: 0.0337 0.2500 0.6833
Pa: 0.4663 0.7500 0.1833
Pa: 0.5337 0.2500 0.8167
Pa: 0.9663 0.7500 0.3167
Rh: 0.0452 0.2500 0.4248
Rh: 0.1053 0.2500 0.8710
Rh: 0.2428 0.7500 0.1500
Rh: 0.2572 0.2500 0.6500
Rh: 0.3947 0.7500 0.3710
Rh: 0.4548 0.7500 0.9248
Rh: 0.5452 0.2500 0.0752
Rh: 0.6053 0.2500 0.6290
Rh: 0.7428 0.7500 0.3500
Rh: 0.7572 0.2500 0.8500
Rh: 0.8947 0.7500 0.1290
Rh: 0.9548 0.7500 0.5752

=====

Computed X-ray powder pattern
Compound: NdMo2C2
Radiation: Cu Kα (λ = 1.5418 Å)
Structure: DFT lattice parameters and positions (PBE)
No peak broadening, texture or thermal motion is included.

Most intense lines, 2θ = 10–90°, by angle:
Position (°2θ), intensity
31.8, 16.3
32.1, 100.0
33.0, 86.0
39.7, 32.1
43.7, 44.7
49.6, 26.9
51.8, 31.7
57.8, 18.9
60.5, 13.7
67.2, 13.2

Cell and atoms:
Lattice parameters (Å, degrees): 6.5048 5.8469 5.7486 68.24 56.60 55.16
Fractional positions:
Nd: 0.1250 0.1250 0.1250
Nd: 0.8750 0.8750 0.8750
Mo: 0.2346 0.2346 0.5154
Mo: 0.4846 0.4846 0.7654
Mo: 0.5154 0.5154 0.2346
Mo: 0.7654 0.7654 0.4846
C: 0.1741 0.5759 0.1741
C: 0.4241 0.8259 0.4241
C: 0.5759 0.1741 0.5759
C: 0.8259 0.4241 0.8259